1.
SrAc12Nd6: simulated powder X-ray diffraction pattern (a wavelength of 1.5418 Å), based on a DFT-relaxed cell (GGA-PBE, Alexandria).
Lines closer than 0.1° are merged.

Most intense lines, 2θ = 5–70°, sorted by position:
2θ/deg	Rel. int.
11.5	25
24.0	42
25.2	100
29.2	60
30.2	32
30.4	49
31.2	33
36.7	44
43.2	29
52.4	22

Crystal structure
```
data_SrAc12Nd6
_chemical_formula_sum 'Sr3 Ac36 Nd18'
_cell_length_a 15.3409
_cell_length_b 15.3409
_cell_length_c 12.7235
_cell_angle_alpha 90.00
_cell_angle_beta 90.00
_cell_angle_gamma 120.00
_symmetry_space_group_name_H-M 'R -3 m'
_symmetry_Int_Tables_number 166
_symmetry_space_group_name_Hall '-R 3 2"'
loop_
_atom_site_label
_atom_site_fract_x
_atom_site_fract_y
_atom_site_fract_z
Sr1 0.0000 0.0000 0.0000
Ac1 0.0000 0.3842 0.5000
Ac2 0.0892 0.1785 0.3453
Nd1 0.0186 0.5093 0.2642
```



2.
SrAc2NdTe5: simulated powder X-ray diffraction pattern (a wavelength of 1.5418 Å), based on a DFT-relaxed cell (GGA-PBE, Alexandria).
Lines closer than 0.1° are merged.

Most intense lines, 2θ = 5–70°, sorted by position:
2θ/deg	Rel. int.
7.3	59
22.0	58
26.6	22
27.1	37
29.6	15
31.3	100
41.9	23
43.6	21
44.9	23
55.8	15

Crystal structure
```
data_SrAc2NdTe5
_chemical_formula_sum 'Sr1 Ac2 Nd1 Te5'
_cell_length_a 5.712
_cell_length_b 5.712
_cell_length_c 12.069
_cell_angle_alpha 90.00
_cell_angle_beta 90.00
_cell_angle_gamma 90.00
_symmetry_space_group_name_H-M 'P 4/m m m'
_symmetry_Int_Tables_number 123
_symmetry_space_group_name_Hall '-P 4 2'
loop_
_atom_site_label
_atom_site_fract_x
_atom_site_fract_y
_atom_site_fract_z
Sr1 0.000 0.000 0.000
Ac1 0.500 0.500 0.313
Nd1 0.000 0.000 0.500
Te1 0.000 0.000 0.250
Te2 0.000 0.500 0.500
Te3 0.500 0.500 0.000
```



3.
AcTbNd6: simulated powder X-ray diffraction pattern (a wavelength of 1.5418 Å), based on a DFT-relaxed cell (GGA-PBE, Alexandria).
Lines closer than 0.1° are merged.

Most intense lines, 2θ = 5–70°, sorted by position:
2θ/deg	Rel. int.
16.9	1
19.0	1
24.0	1
25.5	1
29.5	100
34.3	51
38.4	1
49.2	37
58.5	44
61.3	13

Crystal structure
```
data_AcTbNd6
_chemical_formula_sum 'Ac1 Tb1 Nd6'
_cell_length_a 5.235
_cell_length_b 5.235
_cell_length_c 10.477
_cell_angle_alpha 90.00
_cell_angle_beta 90.00
_cell_angle_gamma 90.00
_symmetry_space_group_name_H-M 'P 4/m m m'
_symmetry_Int_Tables_number 123
_symmetry_space_group_name_Hall '-P 4 2'
loop_
_atom_site_label
_atom_site_fract_x
_atom_site_fract_y
_atom_site_fract_z
Ac1 0.000 0.000 0.000
Tb1 0.000 0.000 0.500
Nd1 0.000 0.500 0.258
Nd2 0.500 0.500 0.000
Nd3 0.500 0.500 0.500
```



4.
AcTb5Nd: simulated powder X-ray diffraction pattern (a wavelength of 1.5418 Å), based on a DFT-relaxed cell (GGA-PBE, Alexandria).
Lines closer than 0.1° are merged.

Most intense lines, 2θ = 5–70°, sorted by position:
2θ/deg	Rel. int.
24.8	15
28.3	19
30.9	52
31.1	100
31.4	18
31.7	31
32.0	40
32.1	32
55.1	15
55.5	15

Crystal structure
```
data_AcTb5Nd
_chemical_formula_sum 'Ac4 Tb20 Nd4'
_cell_length_a 8.971
_cell_length_b 9.932
_cell_length_c 11.625
_cell_angle_alpha 90.00
_cell_angle_beta 109.99
_cell_angle_gamma 90.00
_symmetry_space_group_name_H-M 'C 1 2/c 1'
_symmetry_Int_Tables_number 15
_symmetry_space_group_name_Hall '-C 2yc'
loop_
_atom_site_label
_atom_site_fract_x
_atom_site_fract_y
_atom_site_fract_z
Ac1 0.250 0.250 0.000
Tb1 0.000 0.075 0.750
Tb2 0.127 0.424 0.667
Tb3 0.169 0.104 0.535
Nd1 0.000 0.266 0.250
```



5.
Ac2TbNd7: simulated powder X-ray diffraction pattern (a wavelength of 1.5418 Å), based on a DFT-relaxed cell (GGA-PBE, Alexandria).
Lines closer than 0.1° are merged.

Most intense lines, 2θ = 5–70°, sorted by position:
2θ/deg	Rel. int.
24.6	24
28.1	36
28.6	50
29.7	67
30.5	28
31.6	59
31.7	100
38.1	24
38.9	26
49.5	23

Crystal structure
```
data_Ac2TbNd7
_chemical_formula_sum 'Ac4 Tb2 Nd14'
_cell_length_a 6.864
_cell_length_b 30.122
_cell_length_c 3.612
_cell_angle_alpha 90.00
_cell_angle_beta 90.00
_cell_angle_gamma 90.00
_symmetry_space_group_name_H-M 'C m m m'
_symmetry_Int_Tables_number 65
_symmetry_space_group_name_Hall '-C 2 2'
loop_
_atom_site_label
_atom_site_fract_x
_atom_site_fract_y
_atom_site_fract_z
Ac1 0.000 0.205 0.000
Tb1 0.000 0.500 0.500
Nd1 0.000 0.000 0.000
Nd2 0.000 0.317 0.500
Nd3 0.243 0.404 0.000
```



6.
AcTb4Nd5: simulated powder X-ray diffraction pattern (a wavelength of 1.5418 Å), based on a DFT-relaxed cell (GGA-PBE, Alexandria).
Lines closer than 0.1° are merged.

Most intense lines, 2θ = 5–70°, sorted by position:
2θ/deg	Rel. int.
27.2	18
29.6	29
30.2	100
32.1	18
32.3	21
32.7	23
33.3	15
35.6	37
50.4	14
55.6	16

Crystal structure
```
data_AcTb4Nd5
_chemical_formula_sum 'Ac2 Tb8 Nd10'
_cell_length_a 17.936
_cell_length_b 3.624
_cell_length_c 11.153
_cell_angle_alpha 90.00
_cell_angle_beta 96.71
_cell_angle_gamma 90.00
_symmetry_space_group_name_H-M 'C 1 2/m 1'
_symmetry_Int_Tables_number 12
_symmetry_space_group_name_Hall '-C 2y'
loop_
_atom_site_label
_atom_site_fract_x
_atom_site_fract_y
_atom_site_fract_z
Ac1 0.000 0.000 0.000
Tb1 0.047 0.500 0.755
Tb2 0.194 0.000 0.888
Nd1 0.000 0.000 0.500
Nd2 0.137 0.500 0.259
Nd3 0.193 0.500 0.599
```



7.
Ac2Tb5Nd3: simulated powder X-ray diffraction pattern (a wavelength of 1.5418 Å), based on a DFT-relaxed cell (GGA-PBE, Alexandria).
Lines closer than 0.1° are merged.

Most intense lines, 2θ = 5–70°, sorted by position:
2θ/deg	Rel. int.
21.8	17
27.3	45
29.8	100
30.7	53
31.9	71
32.7	14
36.5	13
54.1	19
62.9	14
64.0	27

Crystal structure
```
data_Ac2Tb5Nd3
_chemical_formula_sum 'Ac8 Tb20 Nd12'
_cell_length_a 10.010
_cell_length_b 15.496
_cell_length_c 10.014
_cell_angle_alpha 90.00
_cell_angle_beta 108.98
_cell_angle_gamma 90.00
_symmetry_space_group_name_H-M 'C 1 2/c 1'
_symmetry_Int_Tables_number 15
_symmetry_space_group_name_Hall '-C 2yc'
loop_
_atom_site_label
_atom_site_fract_x
_atom_site_fract_y
_atom_site_fract_z
Ac1 0.246 0.103 0.001
Tb1 0.000 0.036 0.250
Tb2 0.000 0.250 0.250
Tb3 0.000 0.464 0.250
Tb4 0.156 0.121 0.597
Nd1 0.000 0.248 0.750
Nd2 0.153 0.376 0.594
```



8.
Ac12Tb7Nd: simulated powder X-ray diffraction pattern (a wavelength of 1.5418 Å), based on a DFT-relaxed cell (GGA-PBE, Alexandria).
Lines closer than 0.1° are merged.

Most intense lines, 2θ = 5–70°, sorted by position:
2θ/deg	Rel. int.
25.4	36
25.8	42
28.2	100
28.7	61
30.8	55
31.1	48
36.9	34
37.6	25
43.6	33
44.6	39

Crystal structure
```
data_Ac12Tb7Nd
_chemical_formula_sum 'Ac36 Tb21 Nd3'
_cell_length_a 20.7544
_cell_length_b 20.7544
_cell_length_c 6.6363
_cell_angle_alpha 90.00
_cell_angle_beta 90.00
_cell_angle_gamma 120.00
_symmetry_space_group_name_H-M 'R -3'
_symmetry_Int_Tables_number 148
_symmetry_space_group_name_Hall '-R 3'
loop_
_atom_site_label
_atom_site_fract_x
_atom_site_fract_y
_atom_site_fract_z
Ac1 0.9996 0.4126 0.4992
Ac2 0.1032 0.5510 0.9867
Tb1 0.0000 0.0000 0.5000
Tb2 0.0799 0.1610 0.8142
Nd1 0.0000 0.0000 0.0000
```